Calculated XRD peak list of LiCoPO4 for Cu Kα (weighted mean of Kα1 and Kα2), from a cell relaxed with PBE+U.

Structure:
a = 5.2872 Å, b = 5.2872 Å, c = 12.6460 Å
α = 90.00°, β = 90.00°, γ = 120.00°
Space group P6_222 (No. 180)
One atom of each set of equivalent atoms:
Li1 0.0000 0.0000 0.0000
Co1 0.0000 0.5000 0.1667
P1 0.0000 0.5000 0.6667
O1 0.1804 0.4029 0.7349

Principal peaks in the range 10 to 90 degrees two-theta, by intensity:
- (1 0 2), 2θ = 24.00°, 3.709 Å, I = 100
- (1 1 4), 2θ = 44.68°, 2.028 Å, I = 21
- (2 0 6), 2θ = 59.63°, 1.551 Å, I = 12
- (1 0 0), 2θ = 19.39°, 4.579 Å, I = 10
- (2 1 2), 2θ = 55.01°, 1.669 Å, I = 10
- (2 0 0), 2θ = 39.36°, 2.289 Å, I = 8
- (1 0 4), 2θ = 34.47°, 2.602 Å, I = 8
- (2 1 4), 2θ = 61.04°, 1.518 Å, I = 5
- (3 1 2), 2θ = 76.51°, 1.245 Å, I = 5
- (1 1 0), 2θ = 33.91°, 2.644 Å, I = 4